# 1
For MnHg3Br8, a structure optimized by DFT (GGA-PBE) gives the theoretical X-ray diffraction stick pattern in this record (Cu Kα, 1.54184 Å).
Neutral-atom scattering factors, no anomalous dispersion.

Crystal structure
abc: 14.1929 8.1192 8.2835
angles: 90.00 124.73 90.00
Space group C2/m (No. 12)
One atom of each set of equivalent atoms:
Mn 0.0000 0.0000 0.0000 [2 per cell]
Hg 0.0000 0.5000 0.0000 [2 per cell]
Hg 0.2500 0.2500 0.0000 [4 per cell]
Br 0.0016 0.2379 0.7712 [8 per cell]
Br 0.2348 0.0000 0.2282 [4 per cell]
Br 0.2466 0.5000 0.2344 [4 per cell]

Top 10 peaks for 2θ from 10° to 90°, most intense first:
d (Å)	2theta	Rel. int.	hkl
6.808	13.0	100	0 0 1
2.899	30.8	83	2 2 -2
2.069	43.8	45	2 2 2
2.916	30.7	42	4 0 0
2.044	44.3	30	6 2 -2
3.472	25.7	30	2 2 -1
3.498	25.5	20	4 0 -1
2.246	40.1	18	2 2 -3
1.957	46.4	18	6 2 -3
2.672	33.5	16	2 2 1

# 2
For NaMnHg2Br8, a structure optimized by DFT (GGA-PBE) gives the theoretical X-ray diffraction stick pattern in this record (Cu Kα, 1.54184 Å).
Neutral-atom scattering factors, no anomalous dispersion.

Crystal structure
abc: 6.9609 7.3135 8.5511
angles: 105.06 93.36 102.50
Space group P-1 (No. 2)
One atom of each set of equivalent atoms:
Na 0.0000 0.0000 0.0000 [1 per cell]
Mn 0.0000 0.0000 0.5000 [1 per cell]
Hg 0.4738 0.7155 0.1951 [2 per cell]
Br 0.1104 0.7594 0.2132 [2 per cell]
Br 0.1559 0.8492 0.6745 [2 per cell]
Br 0.3084 0.2639 0.5317 [2 per cell]
Br 0.4010 0.2777 0.0885 [2 per cell]

Top 10 peaks for 2θ from 10° to 90°, most intense first:
d (Å)	2theta	Rel. int.	hkl
6.176	14.3	100	0 1 -1
3.430	26.0	95	0 2 0
4.327	20.5	51	-1 1 1
6.745	13.1	43	1 0 0
3.367	26.5	38	2 -1 0
2.820	31.7	37	0 1 -3
2.059	44.0	31	0 3 -3
2.081	43.5	31	3 0 -2
2.134	42.4	30	0 1 -4
2.433	36.9	29	2 -2 2

# 3
For HgMoBr4, a structure optimized by DFT (GGA-PBE) gives the theoretical X-ray diffraction stick pattern in this record (Cu Kα, 1.54184 Å).
Neutral-atom scattering factors, no anomalous dispersion.

Crystal structure
abc: 15.4853 7.5945 7.2262
angles: 90.00 90.00 90.00
Space group Ama2 (No. 40)
One atom of each set of equivalent atoms:
Hg 0.0000 0.0000 0.0000 [4 per cell]
Mo 0.2500 0.2172 0.6908 [4 per cell]
Br 0.0854 0.2080 0.6912 [8 per cell]
Br 0.2500 0.4320 0.9949 [4 per cell]
Br 0.2500 0.4983 0.4977 [4 per cell]

Top 10 peaks for 2θ from 10° to 90°, most intense first:
d (Å)	2theta	Rel. int.	hkl
4.959	17.9	100	1 1 1
2.618	34.3	96	0 2 2
4.337	20.5	88	2 1 1
5.235	16.9	69	0 1 1
3.871	23.0	65	4 0 0
2.168	41.7	49	4 2 2
3.113	28.7	47	4 1 1
2.641	33.9	44	4 0 2
2.711	33.0	39	4 2 0
2.389	37.7	34	0 3 1

# 4
For HgMoBr, a structure optimized by DFT (GGA-PBE) gives the theoretical X-ray diffraction stick pattern in this record (Cu Kα, 1.54184 Å).
Neutral-atom scattering factors, no anomalous dispersion.

Crystal structure
abc: 3.2081 3.2081 7.7327
angles: 90.00 90.00 120.00
Space group P3m1 (No. 156)
One atom of each set of equivalent atoms:
Hg 0.0000 0.0000 0.0000 [1 per cell]
Mo 0.3333 0.6667 0.2984 [1 per cell]
Br 0.6667 0.3333 0.5219 [1 per cell]

Top 10 peaks for 2θ from 10° to 90°, most intense first:
d (Å)	2theta	Rel. int.	hkl
2.615	34.3	100	0 1 1
2.256	40.0	55	1 0 2
7.733	11.4	40	0 0 1
1.890	48.2	30	1 0 3
3.866	23.0	24	0 0 2
1.604	57.5	21	1 1 0
1.351	69.6	14	0 1 5
1.234	77.3	14	1 1 4
1.367	68.6	13	2 0 1
2.578	34.8	10	0 0 3

# 5
For Hg5Br3N2, a structure optimized by DFT (GGA-PBE) gives the theoretical X-ray diffraction stick pattern in this record (Cu Kα, 1.54184 Å).
Neutral-atom scattering factors, no anomalous dispersion.

Crystal structure
abc: 4.2844 8.6295 16.7629
angles: 86.47 82.93 89.94
Space group P-1 (No. 2)
One atom of each set of equivalent atoms:
Hg 0.0165 0.2330 0.1501 [2 per cell]
Hg 0.2670 0.3773 0.4644 [2 per cell]
Hg 0.2702 0.8821 0.4583 [2 per cell]
Hg 0.4023 0.6693 0.2066 [2 per cell]
Hg 0.4081 0.9023 0.9438 [2 per cell]
Br 0.0396 0.3409 0.9010 [2 per cell]
Br 0.3757 0.3823 0.2713 [2 per cell]
Br 0.3883 0.9315 0.2718 [2 per cell]
N 0.2492 0.1251 0.5009 [2 per cell]
N 0.2519 0.6253 0.4959 [2 per cell]

Top 10 peaks for 2θ from 10° to 90°, most intense first:
d (Å)	2theta	Rel. int.	hkl
5.535	16.0	100	0 0 3
3.730	23.9	71	0 2 -2
2.803	31.9	66	1 0 -4
3.036	29.4	65	1 -2 0
2.898	30.9	54	0 2 -4
2.397	37.5	47	0 2 6
3.657	24.3	42	-1 1 1
3.997	22.2	32	1 0 -1
5.801	15.3	31	0 1 -2
2.142	42.2	31	2 0 1

# 6
For Hg2Br5N2, a structure optimized by DFT (GGA-PBE) gives the theoretical X-ray diffraction stick pattern in this record (Cu Kα, 1.54184 Å).
Neutral-atom scattering factors, no anomalous dispersion.

Crystal structure
abc: 19.0446 7.7405 10.8067
angles: 90.00 90.00 90.00
Space group Ima2 (No. 46)
One atom of each set of equivalent atoms:
Hg 0.0000 0.0000 0.0000 [4 per cell]
Hg 0.2500 0.2435 0.0120 [4 per cell]
Br 0.0577 0.2188 0.5191 [8 per cell]
Br 0.1381 0.6519 0.8023 [8 per cell]
Br 0.2500 0.2321 0.2622 [4 per cell]
N 0.1036 0.6387 0.3317 [8 per cell]

Top 10 peaks for 2θ from 10° to 90°, most intense first:
d (Å)	2theta	Rel. int.	hkl
3.577	24.9	100	4 0 2
3.418	26.1	73	5 1 0
4.315	20.6	64	1 1 2
7.171	12.3	60	1 1 0
5.250	16.9	39	2 1 1
5.403	16.4	37	0 0 2
2.119	42.7	33	5 1 4
2.702	33.2	33	0 0 4
3.797	23.4	32	4 1 1
4.909	18.1	28	3 1 0

# 7
For Hg3BrN2, a structure optimized by DFT (GGA-PBE) gives the theoretical X-ray diffraction stick pattern in this record (Cu Kα, 1.54184 Å).
Neutral-atom scattering factors, no anomalous dispersion.

Crystal structure
abc: 9.9822 7.2374 10.7880
angles: 90.00 110.22 90.00
Space group C2/c (No. 15)
One atom of each set of equivalent atoms:
Hg 0.0000 0.0586 0.2500 [4 per cell]
Hg 0.1158 0.1941 0.0730 [8 per cell]
Br 0.0000 0.3938 0.7500 [4 per cell]
N 0.1298 0.2434 0.8685 [8 per cell]

Top 10 peaks for 2θ from 10° to 90°, most intense first:
d (Å)	2theta	Rel. int.	hkl
4.586	19.4	100	1 1 1
5.727	15.5	61	1 1 0
2.640	34.0	55	2 0 -4
4.683	18.9	42	2 0 0
3.408	26.2	39	0 2 1
2.614	34.3	39	2 2 1
2.964	30.1	38	2 0 2
1.965	46.2	37	4 2 0
2.754	32.5	34	2 2 -2
3.021	29.6	32	3 1 -1

# 8
For HgBr4N2, a structure optimized by DFT (GGA-PBE) gives the theoretical X-ray diffraction stick pattern in this record (Cu Kα, 1.54184 Å).
Neutral-atom scattering factors, no anomalous dispersion.

Crystal structure
abc: 4.2912 8.1327 8.1419
angles: 63.45 84.65 83.86
Space group P-1 (No. 2)
One atom of each set of equivalent atoms:
Hg 0.0000 0.0000 0.0000 [1 per cell]
Br 0.0634 0.2713 0.3265 [2 per cell]
Br 0.3678 0.1945 0.7485 [2 per cell]
N 0.0824 0.7267 0.8713 [2 per cell]

Top 10 peaks for 2θ from 10° to 90°, most intense first:
d (Å)	2theta	Rel. int.	hkl
7.260	12.2	100	0 1 0
4.038	22.0	87	0 2 1
4.268	20.8	50	1 0 0
3.088	28.9	46	1 1 2
6.873	12.9	45	0 1 1
3.438	25.9	43	0 2 2
2.999	29.8	39	1 -1 1
3.039	29.4	38	1 1 -1
2.171	41.6	36	-1 3 1
3.562	25.0	25	1 -1 0